Diffraction record for LiEu2CoO4. The powder diffractogram is simulated, not measured: it uses a crystal structure in Alexandria, relaxed with PBE+U and Cu Kα, 1.54184 Å.
Kinematic intensities with the Lorentz-polarization factor, no thermal factor.

Top 10 peaks for 2θ = 10–90°, by intensity:
2theta	I/Imax
35.5	100
25.6	92
35.4	70
50.2	63
32.4	57
29.2	47
34.3	45
11.3	36
46.7	31
59.9	30

Crystal structure
Lattice parameters (Å, degrees): 3.326 3.889 7.852 90.00 90.00 90.00
Sites, in units of the cell vectors:
Li 0.000 0.000 0.000
Eu 0.000 0.000 0.601
Eu 0.500 0.500 0.259
Co 0.500 0.500 0.851
O 0.000 0.000 0.303
O 0.000 0.500 0.021
O 0.500 0.000 0.835
O 0.500 0.500 0.571

---

Diffraction record for NaMnBiWO6. The powder diffractogram is simulated, not measured: it uses a crystal structure in Alexandria, relaxed with PBE+U and Cu Kα, 1.54184 Å.
Kinematic intensities with the Lorentz-polarization factor, no thermal factor.

Top 10 peaks for 2θ = 10–90°, by intensity:
2theta	I/Imax
31.4	100
19.1	58
55.9	40
37.0	33
45.0	31
65.5	19
74.4	18
49.3	15
59.6	12
68.9	12

Crystal structure
Lattice parameters (Å, degrees): 5.699 5.699 5.699 60.00 60.00 60.00
Sites, in units of the cell vectors:
Na 0.000 0.000 0.000
Mn 0.250 0.250 0.250
Bi 0.500 0.500 0.500
W 0.750 0.750 0.750
O 0.510 0.510 0.990
O 0.510 0.990 0.510
O 0.510 0.990 0.990
O 0.990 0.510 0.510
O 0.990 0.510 0.990
O 0.990 0.990 0.510